Simulated PXRD pattern
Compound: NaSr2Sn6As6
Radiation: Cu Ka
Structure: a GGA-PBE-relaxed structure

Main lines, sorted by position (2θ from 15° to 90°):
2θ (°)	d (Å)	Rel. int.	hkl
29.52	3.026	100	2 0 1
41.19	2.192	33	1 3 3
43.26	2.092	38	0 6 0
53.02	1.727	11	2 0 4
53.24	1.721	19	2 6 1
61.26	1.513	10	2 6 -4
67.96	1.379	11	3 3 -6
70.93	1.329	17	4 6 -3
77.91	1.226	7	4 6 2
79.35	1.208	7	6 0 -2

Cell: 7.245 12.550 9.486 Å, 90.00 104.70 90.00°
Space group C2/m (No. 12)
Asymmetric unit:
Na 0.000 0.000 0.000 x2
Sr 0.000 0.333 0.000 x4
Sn 0.208 0.332 0.629 x8
Sn 0.213 0.000 0.628 x4
As 0.091 0.165 0.780 x8
As 0.097 0.500 0.780 x4

Simulated PXRD pattern
Compound: NaSr2As2
Radiation: Cu Ka
Structure: a GGA-PBE-relaxed structure

Main lines, sorted by position (2θ from 15° to 90°):
2θ (°)	d (Å)	Rel. int.	hkl
17.57	5.047	24	1 0 1
19.47	4.559	45	0 0 2
28.59	3.122	39	1 1 2
29.48	3.030	100	2 0 0
32.97	2.717	35	1 0 3
35.58	2.524	39	2 0 2
42.18	2.143	37	2 2 0
44.81	2.023	29	2 1 3
45.05	2.012	36	1 1 4
63.41	1.467	26	3 1 4

Cell: 6.060 6.060 9.118 Å, 90.00 90.00 90.00°
Space group I4/mmm (No. 139)
Asymmetric unit:
Na 0.000 0.000 0.000 x2
Sr 0.000 0.500 0.250 x4
As 0.000 0.000 0.348 x4

Simulated PXRD pattern
Compound: Na2Sr3As4
Radiation: Cu Ka
Structure: a GGA-PBE-relaxed structure

Main lines, sorted by position (2θ from 15° to 90°):
2θ (°)	d (Å)	Rel. int.	hkl
19.46	4.561	48	1 1 1
23.29	3.819	28	1 1 -4
29.87	2.992	67	2 1 1
31.06	2.879	100	1 2 -4
31.37	2.852	57	2 0 -6
33.57	2.670	34	2 1 2
34.38	2.608	36	0 0 6
36.36	2.471	23	2 2 -5
37.18	2.418	59	1 3 -1
54.39	1.687	23	3 3 1

Cell: 8.327 7.588 17.718 Å, 90.00 117.91 90.00°
Space group P2_1/c (No. 14)
Asymmetric unit:
Na 0.206 0.187 0.377 x4
Na 0.264 0.641 0.751 x4
Sr 0.051 0.682 0.371 x4
Sr 0.295 0.527 0.099 x4
Sr 0.409 0.027 0.100 x4
As 0.006 0.648 0.538 x4
As 0.168 0.016 0.750 x4
As 0.379 0.244 0.249 x4
As 0.431 0.646 0.962 x4

Simulated PXRD pattern
Compound: Na14Ta2As9
Radiation: Cu Ka
Structure: a GGA-PBE-relaxed structure

Main lines, sorted by position (2θ from 15° to 90°):
2θ (°)	d (Å)	Rel. int.	hkl
21.36	4.160	28	1 1 0
22.54	3.944	49	0 0 3
22.66	3.925	95	2 -1 1
33.77	2.654	61	3 -1 1
37.30	2.411	100	2 -1 4
37.44	2.402	96	3 0 0
44.16	2.051	38	0 3 3
45.88	1.978	30	2 0 5
46.06	1.971	39	3 1 1
51.27	1.782	39	0 4 1

Cell: 8.3201 8.3201 11.8334 Å, 90.00 90.00 120.00°
Space group P-3 (No. 147)
Asymmetric unit:
Na 0.0000 0.0000 0.2500 x2
Na 0.0391 0.6812 0.4095 x6
Na 0.0729 0.3807 0.0918 x6
Ta 0.3333 0.6667 0.7665 x2
As 0.0000 0.0000 0.5000 x1
As 0.0658 0.3697 0.8346 x6
As 0.3333 0.6667 0.5546 x2

Simulated PXRD pattern
Compound: NaTaAs
Radiation: Cu Ka
Structure: a GGA-PBE-relaxed structure

Main lines, sorted by position (2θ from 15° to 90°):
2θ (°)	d (Å)	Rel. int.	hkl
24.90	3.575	17	1 0 1
33.50	2.675	80	1 1 1
34.78	2.579	16	0 0 3
39.25	2.295	100	1 1 2
44.97	2.016	40	2 0 0
46.56	1.951	27	2 0 1
47.54	1.913	29	1 1 3
67.05	1.396	16	2 0 4
75.59	1.258	15	3 1 1
79.09	1.211	26	3 1 2

Cell: 4.032 4.032 7.738 Å, 90.00 90.00 90.00°
Space group P4/nmm (No. 129, origin choice 2)
Asymmetric unit:
Na 0.250 0.250 0.140 x2
Ta 0.250 0.750 0.500 x2
As 0.250 0.250 0.734 x2

Simulated PXRD pattern
Compound: NaTe4As2
Radiation: Cu Ka
Structure: a GGA-PBE-relaxed structure

Main lines, sorted by position (2θ from 15° to 90°):
2θ (°)	d (Å)	Rel. int.	hkl
18.95	4.684	39	0 2 2
19.89	4.464	21	1 3 1
26.56	3.356	37	2 2 2
28.10	3.175	100	2 4 0
31.81	2.813	57	0 0 4
33.11	2.705	42	3 3 1
39.28	2.294	25	1 7 1
40.33	2.236	31	3 3 3
42.95	2.106	57	2 4 4
49.85	1.829	24	4 0 4

Cell: 9.619 16.911 11.253 Å, 90.00 90.00 90.00°
Space group Fdd2 (No. 43)
Asymmetric unit:
Na 0.000 0.000 0.000 x8
Te 0.071 0.199 0.482 x16
Te 0.103 0.412 0.256 x16
As 0.103 0.421 0.009 x16

Simulated PXRD pattern
Compound: Na2Te5As2
Radiation: Cu Ka
Structure: a GGA-PBE-relaxed structure

Main lines, sorted by position (2θ from 15° to 90°):
2θ (°)	d (Å)	Rel. int.	hkl
16.89	5.251	88	1 0 0
19.88	4.466	58	1 -1 0
27.95	3.192	69	0 2 2
29.05	3.074	45	1 2 1
31.01	2.884	100	0 1 -2
31.94	2.802	94	2 0 1
32.06	2.792	31	1 1 3
35.42	2.534	40	-1 2 2
42.93	2.107	60	2 2 3
45.11	2.010	70	2 1 -1

Cell: 5.605 7.430 8.542 Å, 69.68 70.88 89.92°
Space group P-1 (No. 2)
Asymmetric unit:
Na 0.055 0.324 0.389 x2
Te 0.182 0.799 0.140 x2
Te 0.408 0.869 0.685 x2
Te 0.500 0.500 0.500 x1
As 0.334 0.138 0.832 x2

Simulated PXRD pattern
Compound: NaZnTe3As
Radiation: Cu Ka
Structure: a GGA-PBE-relaxed structure

Main lines, sorted by position (2θ from 15° to 90°):
2θ (°)	d (Å)	Rel. int.	hkl
24.32	3.661	32	2 0 1
28.01	3.186	32	0 0 3
29.36	3.042	100	2 1 -1
34.79	2.579	24	1 1 -3
36.79	2.443	20	3 1 -1
40.07	2.250	16	4 0 -1
42.78	2.114	26	0 2 0
44.15	2.051	33	2 1 -4
44.52	2.035	17	2 1 3
45.53	1.992	21	3 1 2

Cell: 9.001 4.228 9.844 Å, 90.00 103.84 90.00°
Space group P2_1/m (No. 11)
Asymmetric unit:
Na 0.191 0.250 0.242 x2
Zn 0.082 0.250 0.602 x2
Te 0.116 0.250 0.879 x2
Te 0.228 0.750 0.523 x2
Te 0.441 0.750 0.153 x2
As 0.335 0.750 0.873 x2

Simulated PXRD pattern
Compound: NaTiAs
Radiation: Cu Ka
Structure: a GGA-PBE-relaxed structure

Main lines, sorted by position (2θ from 15° to 90°):
2θ (°)	d (Å)	Rel. int.	hkl
25.08	3.551	54	1 0 1
27.37	3.259	100	1 0 4
37.88	2.375	79	1 0 10
43.89	2.063	77	1 1 0
44.76	2.025	28	1 1 3
44.91	2.018	28	1 0 13
47.44	1.917	30	0 1 14
51.26	1.782	20	0 2 1
56.53	1.628	19	1 1 12
59.34	1.557	20	0 2 10

Cell: 4.1259 4.1259 31.7925 Å, 90.00 90.00 120.00°
Space group R-3m (No. 166, hexagonal axes)
Asymmetric unit:
Na 0.0000 0.0000 0.1142 x6
Ti 0.0000 0.0000 0.3059 x6
As 0.0000 0.0000 0.3898 x6

Simulated PXRD pattern
Compound: Na8Tl5As
Radiation: Cu Ka
Structure: a GGA-PBE-relaxed structure

Main lines, sorted by position (2θ from 15° to 90°):
2θ (°)	d (Å)	Rel. int.	hkl
17.48	5.075	37	2 0 0
22.38	3.973	100	1 2 1
27.80	3.209	22	3 1 0
28.53	3.128	56	3 0 1
33.15	2.703	45	2 2 2
33.66	2.663	78	3 2 1
33.89	2.645	71	1 0 3
35.49	2.529	85	1 3 2
38.17	2.358	48	4 1 1
46.06	1.971	23	5 0 1

Cell: 10.149 10.149 8.218 Å, 90.00 90.00 90.00°
Space group I-4 (No. 82)
Asymmetric unit:
Na 0.011 0.339 0.053 x8
Na 0.142 0.252 0.713 x8
Tl 0.000 0.000 0.000 x2
Tl 0.076 0.146 0.353 x8
As 0.000 0.500 0.750 x2

Simulated PXRD pattern
Compound: NaTlAs4
Radiation: Cu Ka
Structure: a GGA-PBE-relaxed structure

Main lines, sorted by position (2θ from 15° to 90°):
2θ (°)	d (Å)	Rel. int.	hkl
15.11	5.863	25	1 1 -1
20.36	4.363	20	0 2 1
24.53	3.629	23	0 4 0
28.22	3.162	20	1 1 -2
28.39	3.144	26	2 2 0
32.79	2.731	100	0 0 2
33.90	2.644	72	1 5 -1
37.28	2.412	25	3 3 -1
40.60	2.222	29	1 5 1
54.43	1.686	24	1 5 -3

Cell: 8.468 14.514 6.626 Å, 90.00 124.52 90.00°
Space group C2/c (No. 15)
Asymmetric unit:
Na 0.000 0.055 0.250 x4
Tl 0.000 0.442 0.250 x4
As 0.151 0.151 0.762 x8
As 0.160 0.350 0.787 x8

Simulated PXRD pattern
Compound: Na5TlAs2
Radiation: Cu Ka
Structure: a GGA-PBE-relaxed structure

Main lines, sorted by position (2θ from 15° to 90°):
2θ (°)	d (Å)	Rel. int.	hkl
19.77	4.490	30	1 0 0
20.31	4.372	100	1 0 1
27.91	3.197	17	0 0 6
34.44	2.604	21	1 0 6
34.60	2.593	63	1 1 0
38.49	2.339	41	1 0 7
40.45	2.230	17	2 0 1
45.02	2.014	28	1 1 6
52.71	1.737	17	2 0 7
64.59	1.443	18	2 1 7

Cell: 5.1850 5.1850 19.1825 Å, 90.00 90.00 120.00°
Space group P6_3/mmc (No. 194)
Asymmetric unit:
Na 0.0000 0.0000 0.1364 x4
Na 0.3333 0.6667 0.0530 x4
Na 0.3333 0.6667 0.2500 x2
Tl 0.3333 0.6667 0.7500 x2
As 0.3333 0.6667 0.6053 x4

Simulated PXRD pattern
Compound: NaV2AsW
Radiation: Cu Ka
Structure: a GGA-PBE-relaxed structure

Main lines, sorted by position (2θ from 15° to 90°):
2θ (°)	d (Å)	Rel. int.	hkl
18.67	4.754	100	1 0 0
26.54	3.359	35	1 1 0
32.68	2.740	48	1 1 1
37.85	2.377	45	2 0 0
38.06	2.365	22	0 0 2
42.52	2.126	25	2 1 0
42.71	2.117	24	1 0 2
54.60	1.681	15	2 2 0
54.76	1.676	30	2 0 2
58.37	1.581	19	2 1 2

Cell: 4.754 4.754 4.729 Å, 90.00 90.00 90.00°
Space group P4/mmm (No. 123)
Asymmetric unit:
Na 0.000 0.000 0.000 x1
V 0.000 0.500 0.500 x2
As 0.500 0.500 0.500 x1
W 0.500 0.500 0.000 x1